(1)
Diffraction record for TbAsH2Rh2. The powder X-ray diffraction pattern is computed, not measured: it uses a crystal structure in Alexandria, relaxed with PBE and Cu Kα, 1.54184 Å.
No peak broadening, texture or thermal motion is included.

Main lines, sorted by position (2θ from 10° to 90°):
| 2θ/deg | d/Å | I (rel.) |
| --- | --- | --- |
| 21.3 | 4.168 | 23 |
| 26.7 | 3.333 | 45 |
| 28.4 | 3.138 | 44 |
| 29.6 | 3.022 | 21 |
| 32.7 | 2.735 | 52 |
| 36.3 | 2.475 | 22 |
| 36.9 | 2.433 | 56 |
| 38.9 | 2.316 | 100 |
| 41.0 | 2.204 | 73 |
| 54.9 | 1.674 | 21 |

```
TbAsH2Rh2
1.0
4.9209 0.0000 0.0000
0.0000 5.5781 0.0000
-0.9452 0.0000 6.2769
Tb As H Rh
2 2 4 4
direct
0.2330 0.2500 0.3351
0.7670 0.7500 0.6649
0.2521 0.7500 0.1074
0.7479 0.2500 0.8926
0.1385 0.2500 0.6696
0.2541 0.7500 0.6238
0.7459 0.2500 0.3762
0.8615 0.7500 0.3304
0.3156 0.0055 0.7973
0.3156 0.4945 0.7973
0.6844 0.5055 0.2027
0.6844 0.9945 0.2027
```

=====

(2)
Diffraction record for SmThRe. The powder X-ray diffraction pattern is computed, not measured: it uses a crystal structure in Alexandria, relaxed with PBE and Cu Kα, 1.54184 Å.
No peak broadening, texture or thermal motion is included.

Main lines, sorted by position (2θ from 10° to 90°):
| 2θ/deg | d/Å | I (rel.) |
| --- | --- | --- |
| 29.9 | 2.992 | 66 |
| 30.9 | 2.895 | 27 |
| 32.2 | 2.781 | 100 |
| 35.3 | 2.544 | 41 |
| 37.3 | 2.408 | 18 |
| 38.4 | 2.345 | 42 |
| 41.0 | 2.201 | 21 |
| 50.1 | 1.822 | 14 |
| 58.2 | 1.584 | 23 |
| 65.5 | 1.424 | 18 |

```
SmThRe
1.0
11.7372 0.0000 0.0000
0.0000 4.6898 0.0000
-4.7360 0.0000 5.7896
Sm Th Re
4 4 4
direct
0.0000 0.0000 0.0000
0.0961 0.5000 0.4582
0.5000 0.5000 0.0000
0.5961 0.0000 0.4582
0.2558 0.5000 0.0965
0.3519 0.0000 0.5643
0.7558 0.0000 0.0965
0.8519 0.5000 0.5643
0.0283 0.0000 0.6276
0.3024 0.0000 0.9121
0.5283 0.5000 0.6276
0.8024 0.5000 0.9121
```

=====

(3)
Diffraction record for Mg2Al4Zn3. The powder X-ray diffraction pattern is computed, not measured: it uses a crystal structure in Alexandria, relaxed with PBE and Cu Kα, 1.54184 Å.
No peak broadening, texture or thermal motion is included.

Main lines, sorted by position (2θ from 10° to 90°):
| 2θ/deg | d/Å | I (rel.) |
| --- | --- | --- |
| 19.5 | 4.550 | 27 |
| 20.0 | 4.439 | 42 |
| 26.1 | 3.413 | 32 |
| 35.6 | 2.519 | 26 |
| 38.1 | 2.360 | 37 |
| 38.9 | 2.313 | 100 |
| 40.6 | 2.220 | 28 |
| 42.6 | 2.122 | 22 |
| 51.3 | 1.780 | 37 |
| 69.3 | 1.355 | 23 |

```
Mg2Al4Zn3
1.0
5.4203 0.0000 0.0000
-2.7102 4.6942 0.0000
0.0000 0.0000 13.6512
Mg Al Zn
4 8 6
direct
0.3333 0.6667 0.0495
0.3333 0.6667 0.4535
0.6667 0.3333 0.5465
0.6667 0.3333 0.9505
0.0000 0.0000 0.0000
0.0000 0.0000 0.5000
0.1684 0.3368 0.6613
0.1684 0.8316 0.6613
0.3368 0.1684 0.3387
0.6632 0.8316 0.6613
0.8316 0.1684 0.3387
0.8316 0.6632 0.3387
0.1714 0.3429 0.8515
0.1714 0.8286 0.8515
0.3429 0.1714 0.1485
0.6571 0.8286 0.8515
0.8286 0.1714 0.1485
0.8286 0.6571 0.1485
```

=====

(4)
Diffraction record for Ho11Hg9Au4. The powder X-ray diffraction pattern is computed, not measured: it uses a crystal structure in Alexandria, relaxed with PBE and Cu Kα, 1.54184 Å.
No peak broadening, texture or thermal motion is included.

Main lines, sorted by position (2θ from 10° to 90°):
| 2θ/deg | d/Å | I (rel.) |
| --- | --- | --- |
| 31.7 | 2.822 | 8 |
| 32.8 | 2.729 | 9 |
| 34.6 | 2.595 | 100 |
| 34.8 | 2.579 | 51 |
| 36.8 | 2.442 | 9 |
| 49.4 | 1.846 | 14 |
| 61.8 | 1.501 | 22 |
| 62.1 | 1.494 | 8 |
| 62.3 | 1.491 | 9 |
| 82.8 | 1.166 | 9 |

```
Ho11Hg9Au4
1.0
7.3098 -10.9219 0.0000
7.3098 10.9219 0.0000
0.0000 0.0000 3.6928
Ho Hg Au
11 9 4
direct
0.0000 0.0000 0.0000
0.0720 0.4140 0.0000
0.1670 0.8330 0.0000
0.2884 0.2884 0.0000
0.3624 0.6376 0.0000
0.4140 0.0720 0.0000
0.5860 0.9280 0.0000
0.6376 0.3624 0.0000
0.7116 0.7116 0.0000
0.8330 0.1670 0.0000
0.9280 0.5860 0.0000
0.0569 0.2092 0.5000
0.1493 0.6324 0.5000
0.2092 0.0569 0.5000
0.3676 0.8507 0.5000
0.5000 0.5000 0.5000
0.6324 0.1493 0.5000
0.7908 0.9431 0.5000
0.8507 0.3676 0.5000
0.9431 0.7908 0.5000
0.2530 0.4492 0.5000
0.4492 0.2530 0.5000
0.5508 0.7470 0.5000
0.7470 0.5508 0.5000
```

=====

(5)
Diffraction record for RbPuZn2Br8. The powder X-ray diffraction pattern is computed, not measured: it uses a crystal structure in Alexandria, relaxed with PBE and Cu Kα, 1.54184 Å.
No peak broadening, texture or thermal motion is included.

Main lines, sorted by position (2θ from 10° to 90°):
| 2θ/deg | d/Å | I (rel.) |
| --- | --- | --- |
| 15.3 | 5.795 | 45 |
| 18.5 | 4.784 | 100 |
| 20.3 | 4.384 | 36 |
| 26.2 | 3.399 | 83 |
| 31.0 | 2.887 | 90 |
| 32.3 | 2.771 | 29 |
| 36.1 | 2.487 | 57 |
| 42.1 | 2.148 | 26 |
| 42.4 | 2.132 | 63 |
| 46.3 | 1.962 | 67 |

```
RbPuZn2Br8
1.0
3.3991 1.9625 10.9455
-3.3991 1.9625 10.9455
0.0000 -3.9249 10.9455
Rb Pu Zn Br
1 1 2 8
direct
0.0000 0.0000 0.0000
0.5000 0.5000 0.5000
0.2500 0.2500 0.2500
0.7500 0.7500 0.7500
0.1195 0.4365 0.7713
0.2287 0.5635 0.8805
0.3217 0.3217 0.3217
0.4365 0.7713 0.1195
0.5635 0.8805 0.2287
0.6783 0.6783 0.6783
0.7713 0.1195 0.4365
0.8805 0.2287 0.5635
```

=====

(6)
Diffraction record for Pr5Y4Mg2. The powder X-ray diffraction pattern is computed, not measured: it uses a crystal structure in Alexandria, relaxed with PBE and Cu Kα, 1.54184 Å.
No peak broadening, texture or thermal motion is included.

Main lines, sorted by position (2θ from 10° to 90°):
| 2θ/deg | d/Å | I (rel.) |
| --- | --- | --- |
| 29.5 | 3.028 | 69 |
| 30.4 | 2.937 | 42 |
| 30.7 | 2.916 | 38 |
| 31.1 | 2.878 | 100 |
| 31.7 | 2.825 | 34 |
| 32.4 | 2.767 | 69 |
| 33.7 | 2.659 | 30 |
| 34.7 | 2.582 | 19 |
| 49.7 | 1.834 | 21 |
| 50.1 | 1.820 | 23 |

```
Pr5Y4Mg2
1.0
9.1594 0.0000 0.0000
0.0000 21.5326 0.0000
0.0000 0.0000 3.6683
Pr Y Mg
10 8 4
direct
0.0000 0.0000 0.0000
0.1287 0.4356 0.0000
0.2475 0.2180 0.0000
0.2525 0.7180 0.0000
0.3713 0.9356 0.0000
0.5000 0.5000 0.0000
0.6287 0.0644 0.0000
0.7475 0.2820 0.0000
0.7525 0.7820 0.0000
0.8713 0.5644 0.0000
0.0705 0.8509 0.5000
0.2168 0.5770 0.5000
0.2832 0.0770 0.5000
0.4295 0.3509 0.5000
0.5705 0.6491 0.5000
0.7168 0.9230 0.5000
0.7832 0.4230 0.5000
0.9295 0.1491 0.5000
0.0432 0.3103 0.5000
0.4568 0.8103 0.5000
0.5432 0.1897 0.5000
0.9568 0.6897 0.5000
```

=====

(7)
Diffraction record for Dy5ZrCd4. The powder X-ray diffraction pattern is computed, not measured: it uses a crystal structure in Alexandria, relaxed with PBE and Cu Kα, 1.54184 Å.
No peak broadening, texture or thermal motion is included.

Main lines, sorted by position (2θ from 10° to 90°):
| 2θ/deg | d/Å | I (rel.) |
| --- | --- | --- |
| 33.2 | 2.702 | 100 |
| 35.4 | 2.539 | 44 |
| 44.1 | 2.052 | 10 |
| 50.9 | 1.795 | 15 |
| 57.8 | 1.596 | 18 |
| 62.1 | 1.495 | 32 |
| 69.6 | 1.351 | 10 |
| 74.2 | 1.278 | 7 |
| 84.3 | 1.149 | 7 |
| 85.5 | 1.135 | 7 |

```
Dy5ZrCd4
1.0
3.5904 0.0000 0.0000
0.0000 3.5904 0.0000
0.0000 0.0000 20.5170
Dy Zr Cd
5 1 4
direct
0.0000 0.0000 0.0000
0.0000 0.0000 0.1930
0.0000 0.0000 0.3936
0.0000 0.0000 0.6064
0.0000 0.0000 0.8070
0.5000 0.5000 0.5000
0.5000 0.5000 0.0961
0.5000 0.5000 0.2916
0.5000 0.5000 0.7084
0.5000 0.5000 0.9039
```

=====

(8)
Diffraction record for K2CdAu4S4. The powder X-ray diffraction pattern is computed, not measured: it uses a crystal structure in Alexandria, relaxed with PBE and Cu Kα, 1.54184 Å.
No peak broadening, texture or thermal motion is included.

Main lines, sorted by position (2θ from 10° to 90°):
| 2θ/deg | d/Å | I (rel.) |
| --- | --- | --- |
| 12.0 | 7.403 | 100 |
| 14.9 | 5.939 | 27 |
| 28.4 | 3.141 | 58 |
| 29.2 | 3.058 | 55 |
| 30.1 | 2.970 | 81 |
| 32.5 | 2.756 | 51 |
| 35.0 | 2.561 | 22 |
| 35.2 | 2.549 | 26 |
| 37.0 | 2.431 | 25 |
| 48.9 | 1.863 | 30 |

```
K2CdAu4S4
1.0
-3.5472 5.4293 7.4026
3.5472 -5.4293 7.4026
3.5472 5.4293 -7.4026
K Cd Au S
4 2 8 8
direct
0.1539 0.1621 0.3160
0.3461 0.6621 0.0082
0.6539 0.3379 0.9918
0.8461 0.8379 0.6840
0.2500 0.2500 0.0000
0.7500 0.7500 0.0000
0.0000 0.0000 0.5000
0.0000 0.5000 0.0000
0.1369 0.6369 0.5000
0.3631 0.8631 0.5000
0.5000 0.0000 0.0000
0.5000 0.5000 0.5000
0.6369 0.1369 0.5000
0.8631 0.3631 0.5000
0.0188 0.3490 0.1073
0.2416 0.9115 0.8927
0.2584 0.1510 0.6698
0.4812 0.5885 0.3302
0.5188 0.4115 0.6698
0.7416 0.8490 0.3302
0.7584 0.0885 0.1073
0.9812 0.6510 0.8927
```

=====

(9)
Diffraction record for TaTl2Cu2Se6. The powder X-ray diffraction pattern is computed, not measured: it uses a crystal structure in Alexandria, relaxed with PBE and Cu Kα, 1.54184 Å.
No peak broadening, texture or thermal motion is included.

Main lines, sorted by position (2θ from 10° to 90°):
| 2θ/deg | d/Å | I (rel.) |
| --- | --- | --- |
| 14.7 | 6.030 | 25 |
| 24.3 | 3.666 | 94 |
| 27.1 | 3.293 | 53 |
| 27.8 | 3.210 | 36 |
| 29.6 | 3.015 | 73 |
| 33.8 | 2.650 | 100 |
| 36.7 | 2.450 | 35 |
| 44.5 | 2.037 | 47 |
| 47.4 | 1.918 | 41 |
| 49.7 | 1.833 | 58 |

```
TaTl2Cu2Se6
1.0
3.6658 2.1165 6.4197
-3.6658 2.1165 6.4197
0.0000 -4.2329 6.4197
Ta Tl Cu Se
1 2 2 6
direct
0.0000 0.0000 0.0000
0.2307 0.2307 0.2307
0.7693 0.7693 0.7693
0.3992 0.3992 0.3992
0.6008 0.6008 0.6008
0.2229 0.7599 0.7599
0.2401 0.2401 0.7771
0.2401 0.7771 0.2401
0.7599 0.2229 0.7599
0.7599 0.7599 0.2229
0.7771 0.2401 0.2401
```

=====

(10)
Diffraction record for Tb4Tm9Al11. The powder X-ray diffraction pattern is computed, not measured: it uses a crystal structure in Alexandria, relaxed with PBE and Cu Kα, 1.54184 Å.
No peak broadening, texture or thermal motion is included.

Main lines, sorted by position (2θ from 10° to 90°):
| 2θ/deg | d/Å | I (rel.) |
| --- | --- | --- |
| 20.7 | 4.282 | 52 |
| 23.9 | 3.719 | 56 |
| 26.9 | 3.315 | 100 |
| 33.7 | 2.659 | 54 |
| 34.2 | 2.621 | 73 |
| 35.7 | 2.514 | 75 |
| 35.9 | 2.499 | 58 |
| 36.3 | 2.474 | 79 |
| 40.4 | 2.231 | 71 |
| 61.7 | 1.504 | 48 |

```
Tb4Tm9Al11
1.0
7.6088 -11.1556 0.0000
7.6088 11.1556 0.0000
0.0000 0.0000 3.3154
Tb Tm Al
4 9 11
direct
0.0961 0.2604 0.0000
0.2604 0.0961 0.0000
0.7396 0.9039 0.0000
0.9039 0.7396 0.0000
0.0000 0.0000 0.0000
0.1113 0.6655 0.0000
0.2956 0.4916 0.0000
0.3345 0.8887 0.0000
0.4916 0.2956 0.0000
0.5084 0.7044 0.0000
0.6655 0.1113 0.0000
0.7044 0.5084 0.0000
0.8887 0.3345 0.0000
0.0885 0.4637 0.5000
0.1206 0.8794 0.5000
0.3060 0.3060 0.5000
0.3104 0.6896 0.5000
0.4637 0.0885 0.5000
0.5000 0.5000 0.5000
0.5363 0.9115 0.5000
0.6896 0.3104 0.5000
0.6940 0.6940 0.5000
0.8794 0.1206 0.5000
0.9115 0.5363 0.5000
```

=====

(11)
Diffraction record for Li3B8C8. The powder X-ray diffraction pattern is computed, not measured: it uses a crystal structure in Alexandria, relaxed with PBE and Cu Kα, 1.54184 Å.
No peak broadening, texture or thermal motion is included.

Main lines, sorted by position (2θ from 10° to 90°):
| 2θ/deg | d/Å | I (rel.) |
| --- | --- | --- |
| 12.9 | 6.843 | 21 |
| 13.8 | 6.396 | 100 |
| 21.5 | 4.134 | 66 |
| 24.6 | 3.625 | 42 |
| 27.9 | 3.198 | 62 |
| 31.5 | 2.844 | 13 |
| 38.6 | 2.332 | 27 |
| 45.9 | 1.976 | 14 |
| 50.6 | 1.804 | 14 |
| 71.9 | 1.313 | 17 |

```
Li3B8C8
1.0
7.2798 -1.3644 0.0000
7.2798 1.3644 0.0000
-4.3646 0.0000 8.0324
Li B C
3 8 8
direct
0.0000 0.0000 0.0000
0.2744 0.2744 0.1701
0.7256 0.7256 0.8299
0.0575 0.0575 0.6911
0.1415 0.1415 0.2486
0.3717 0.3717 0.0188
0.4190 0.4190 0.5600
0.5810 0.5810 0.4400
0.6283 0.6283 0.9812
0.8585 0.8585 0.7514
0.9425 0.9425 0.3089
0.1029 0.1029 0.3821
0.1115 0.1115 0.8854
0.3530 0.3530 0.8342
0.4524 0.4524 0.4076
0.5476 0.5476 0.5924
0.6470 0.6470 0.1658
0.8885 0.8885 0.1146
0.8971 0.8971 0.6179
```

=====

(12)
Diffraction record for SmCoAg. The powder X-ray diffraction pattern is computed, not measured: it uses a crystal structure in Alexandria, relaxed with PBE and Cu Kα, 1.54184 Å.
No peak broadening, texture or thermal motion is included.

Main lines, sorted by position (2θ from 10° to 90°):
| 2θ/deg | d/Å | I (rel.) |
| --- | --- | --- |
| 31.7 | 2.821 | 25 |
| 33.4 | 2.682 | 100 |
| 35.8 | 2.508 | 79 |
| 36.9 | 2.439 | 18 |
| 40.2 | 2.245 | 47 |
| 47.2 | 1.926 | 22 |
| 47.4 | 1.918 | 22 |
| 60.6 | 1.527 | 33 |
| 63.8 | 1.458 | 23 |
| 71.6 | 1.318 | 15 |

```
SmCoAg
1.0
3.8354 0.0000 0.0000
0.0000 16.5762 0.0000
0.0000 0.0000 3.8513
Sm Co Ag
4 4 4
direct
0.0000 0.1010 0.2500
0.0000 0.8990 0.7500
0.5000 0.3990 0.7500
0.5000 0.6010 0.2500
0.0000 0.4660 0.2500
0.0000 0.5340 0.7500
0.5000 0.0340 0.7500
0.5000 0.9660 0.2500
0.0000 0.2934 0.2500
0.0000 0.7066 0.7500
0.5000 0.2066 0.7500
0.5000 0.7934 0.2500
```